# 1
For Si3Ni2, a cell relaxed with GGA-PBE gives the computed powder X-ray diffraction pattern in this record (Cu Kα (λ = 1.5418 Å)).

Most intense lines, 2θ = 10–80°, low angle first:
d = 4.527 Å, 2θ 19.61, I 222; d = 3.018 Å, 2θ 29.60, I 33; d = 2.412 Å, 2θ 37.29, I 105; d = 2.384 Å, 2θ 37.74, I 14; d = 2.281 Å, 2θ 39.51, I 67; d = 2.211 Å, 2θ 40.80, I 1000; d = 1.811 Å, 2θ 50.40, I 169; d = 1.807 Å, 2θ 50.50, I 515; d = 1.729 Å, 2θ 52.97, I 59; d = 1.398 Å, 2θ 66.94, I 215; d = 1.390 Å, 2θ 67.37, I 32; d = 1.336 Å, 2θ 70.51, I 35

Structural model:
Cell: 9.1963 9.1963 9.1963 Å, 17.49 17.49 17.49°
Positions (direct):
Si 0.0000 0.0000 0.0000
Si 0.2034 0.2034 0.2034
Si 0.7966 0.7966 0.7966
Ni 0.4011 0.4011 0.4011
Ni 0.5989 0.5989 0.5989


# 2
For La2Pr7Sc2, a cell relaxed with GGA-PBE gives the computed powder X-ray diffraction pattern in this record (Cu Kα (λ = 1.5418 Å)).

Most intense lines, 2θ = 10–80°, low angle first:
d = 5.666 Å, 2θ 15.64, I 140; d = 3.499 Å, 2θ 25.46, I 181; d = 3.264 Å, 2θ 27.32, I 297; d = 2.845 Å, 2θ 31.44, I 1000; d = 2.833 Å, 2θ 31.58, I 454; d = 2.814 Å, 2θ 31.80, I 525; d = 2.611 Å, 2θ 34.35, I 191; d = 2.539 Å, 2θ 35.35, I 137; d = 2.006 Å, 2θ 45.21, I 161; d = 1.638 Å, 2θ 56.14, I 147; d = 1.632 Å, 2θ 56.38, I 148; d = 1.628 Å, 2θ 56.51, I 179

Structural model:
Cell: 5.6661 9.7261 6.9982 Å, 90.00 90.05 90.00°
Positions (direct):
La 0.0006 0.0000 0.2188
La 0.9994 0.0000 0.7812
Pr 0.0000 0.3140 0.5000
Pr 0.0000 0.3464 0.0000
Pr 0.0000 0.6536 0.0000
Pr 0.0000 0.6860 0.5000
Pr 0.5000 0.0000 0.5000
Pr 0.5000 0.1764 0.0000
Pr 0.5000 0.8236 0.0000
Sc 0.5001 0.5000 0.2351
Sc 0.4999 0.5000 0.7649


# 3
For Ce6SmTe8, a cell relaxed with GGA-PBE gives the computed powder X-ray diffraction pattern in this record (Cu Kα (λ = 1.5418 Å)).

Most intense lines, 2θ = 10–80°, low angle first:
d = 7.312 Å, 2θ 12.10, I 45; d = 6.332 Å, 2θ 13.99, I 22; d = 4.478 Å, 2θ 19.83, I 20; d = 3.819 Å, 2θ 23.29, I 39; d = 3.166 Å, 2θ 28.18, I 1000; d = 2.905 Å, 2θ 30.77, I 24; d = 2.437 Å, 2θ 36.88, I 13; d = 2.239 Å, 2θ 40.28, I 762; d = 1.828 Å, 2θ 49.89, I 273; d = 1.583 Å, 2θ 58.28, I 128; d = 1.416 Å, 2θ 65.97, I 351; d = 1.293 Å, 2θ 73.23, I 258

Structural model:
Cell: 8.9553 8.9553 8.9553 Å, 60.00 60.00 60.00°
Positions (direct):
Ce 0.0000 0.0000 0.5000
Ce 0.0000 0.5000 0.0000
Ce 0.0000 0.5000 0.5000
Ce 0.5000 0.0000 0.0000
Ce 0.5000 0.0000 0.5000
Ce 0.5000 0.5000 0.0000
Sm 0.0000 0.0000 0.0000
Te 0.2500 0.2500 0.2500
Te 0.2527 0.2527 0.7473
Te 0.2527 0.7473 0.2527
Te 0.2527 0.7473 0.7473
Te 0.7473 0.2527 0.2527
Te 0.7473 0.2527 0.7473
Te 0.7473 0.7473 0.2527
Te 0.7500 0.7500 0.7500


# 4
For CaEuAgSb, a cell relaxed with GGA-PBE gives the computed powder X-ray diffraction pattern in this record (Cu Kα (λ = 1.5418 Å)).

Most intense lines, 2θ = 10–80°, low angle first:
d = 4.423 Å, 2θ 20.08, I 145; d = 3.830 Å, 2θ 23.22, I 10; d = 2.708 Å, 2θ 33.08, I 1000; d = 2.310 Å, 2θ 39.00, I 86; d = 1.915 Å, 2θ 47.47, I 177; d = 1.757 Å, 2θ 52.04, I 38; d = 1.564 Å, 2θ 59.08, I 362; d = 1.474 Å, 2θ 63.06, I 29; d = 1.354 Å, 2θ 69.40, I 111; d = 1.295 Å, 2θ 73.08, I 29; d = 1.211 Å, 2θ 79.06, I 154

Structural model:
Cell: 5.4167 5.4167 5.4167 Å, 60.00 60.00 60.00°
Positions (direct):
Ca 0.0000 0.0000 0.0000
Eu 0.5000 0.5000 0.5000
Ag 0.7500 0.7500 0.7500
Sb 0.2500 0.2500 0.2500


# 5
For Y3TmRh2, a cell relaxed with GGA-PBE gives the computed powder X-ray diffraction pattern in this record (Cu Kα (λ = 1.5418 Å)).

Most intense lines, 2θ = 10–80°, low angle first:
d = 3.953 Å, 2θ 22.49, I 907; d = 3.147 Å, 2θ 28.36, I 294; d = 3.058 Å, 2θ 29.21, I 470; d = 2.577 Å, 2θ 34.82, I 914; d = 2.451 Å, 2θ 36.66, I 246; d = 2.435 Å, 2θ 36.91, I 256; d = 2.378 Å, 2θ 37.83, I 1000; d = 2.291 Å, 2θ 39.32, I 395; d = 1.870 Å, 2θ 48.69, I 282; d = 1.778 Å, 2θ 51.41, I 245; d = 1.424 Å, 2θ 65.57, I 387; d = 1.351 Å, 2θ 69.59, I 243

Structural model:
Cell: 8.3444 8.3444 8.3444 Å, 132.77 71.58 129.57°
Positions (direct):
Y 0.0192 0.7500 0.2692
Y 0.2500 0.2500 0.0000
Y 0.4808 0.7500 0.7308
Y 0.5192 0.2500 0.2692
Y 0.7500 0.7500 0.0000
Y 0.9808 0.2500 0.7308
Tm 0.0000 0.5000 0.5000
Tm 0.5000 0.0000 0.5000
Rh 0.1369 0.2143 0.3512
Rh 0.3631 0.7143 0.0774
Rh 0.6369 0.2857 0.9226
Rh 0.8631 0.7857 0.6488


# 6
For PmSmCu, a cell relaxed with GGA-PBE gives the computed powder X-ray diffraction pattern in this record (Cu Kα (λ = 1.5418 Å)).

Most intense lines, 2θ = 10–80°, low angle first:
d = 3.428 Å, 2θ 25.99, I 250; d = 3.149 Å, 2θ 28.34, I 150; d = 2.717 Å, 2θ 32.97, I 1000; d = 2.519 Å, 2θ 35.64, I 507; d = 2.057 Å, 2θ 44.02, I 117; d = 1.967 Å, 2θ 46.14, I 161; d = 1.781 Å, 2θ 51.29, I 178; d = 1.613 Å, 2θ 57.11, I 92; d = 1.606 Å, 2θ 57.36, I 99; d = 1.551 Å, 2θ 59.63, I 77; d = 1.490 Å, 2θ 62.33, I 313; d = 1.335 Å, 2θ 70.53, I 86

Structural model:
Cell: 6.7835 6.7835 6.7835 Å, 149.55 149.55 43.60°
Positions (direct):
Pm 0.0000 0.0000 0.0000
Sm 0.7216 0.7216 0.0000
Cu 0.3584 0.3584 0.0000


# 7
For Mg5Au3, a cell relaxed with GGA-PBE gives the computed powder X-ray diffraction pattern in this record (Cu Kα (λ = 1.5418 Å)).

Most intense lines, 2θ = 10–80°, low angle first:
d = 3.540 Å, 2θ 25.15, I 406; d = 3.526 Å, 2θ 25.26, I 410; d = 3.267 Å, 2θ 27.30, I 552; d = 2.860 Å, 2θ 31.27, I 361; d = 2.396 Å, 2θ 37.53, I 1000; d = 2.347 Å, 2θ 38.36, I 156; d = 2.275 Å, 2θ 39.62, I 249; d = 1.911 Å, 2θ 47.57, I 156; d = 1.780 Å, 2θ 51.32, I 185; d = 1.685 Å, 2θ 54.45, I 221; d = 1.551 Å, 2θ 59.59, I 141; d = 1.335 Å, 2θ 70.52, I 166

Structural model:
Cell: 5.8705 5.8705 4.5492 Å, 90.00 90.00 106.17°
Positions (direct):
Mg 0.0000 0.0000 0.0000
Mg 0.0000 0.5000 0.0000
Mg 0.2828 0.2828 0.5000
Mg 0.5000 0.0000 0.0000
Mg 0.7172 0.7172 0.5000
Au 0.2109 0.7891 0.5000
Au 0.5000 0.5000 0.0000
Au 0.7891 0.2109 0.5000


# 8
For Tl2CdI, a cell relaxed with GGA-PBE gives the computed powder X-ray diffraction pattern in this record (Cu Kα (λ = 1.5418 Å)).

Most intense lines, 2θ = 10–80°, low angle first:
d = 4.044 Å, 2θ 21.98, I 67; d = 2.908 Å, 2θ 30.75, I 1000; d = 2.860 Å, 2θ 31.28, I 478; d = 2.092 Å, 2θ 43.25, I 99; d = 2.022 Å, 2θ 44.82, I 178; d = 1.688 Å, 2θ 54.34, I 202; d = 1.660 Å, 2θ 55.34, I 382; d = 1.454 Å, 2θ 64.04, I 123; d = 1.430 Å, 2θ 65.25, I 58; d = 1.318 Å, 2θ 71.57, I 89; d = 1.283 Å, 2θ 73.85, I 81; d = 1.279 Å, 2θ 74.14, I 80

Structural model:
Cell: 5.7196 5.7196 4.1835 Å, 90.00 90.00 90.00°
Positions (direct):
Tl 0.0000 0.5000 0.0000
Tl 0.5000 0.0000 0.0000
Cd 0.0000 0.0000 0.5000
I 0.5000 0.5000 0.5000


# 9
For Cd2Hg6Pb5, a cell relaxed with GGA-PBE gives the computed powder X-ray diffraction pattern in this record (Cu Kα (λ = 1.5418 Å)).

Most intense lines, 2θ = 10–80°, low angle first:
d = 7.269 Å, 2θ 12.18, I 826; d = 4.346 Å, 2θ 20.44, I 284; d = 3.730 Å, 2θ 23.86, I 460; d = 2.878 Å, 2θ 31.07, I 248; d = 2.788 Å, 2θ 32.10, I 559; d = 2.509 Å, 2θ 35.79, I 1000; d = 2.372 Å, 2θ 37.94, I 338; d = 2.101 Å, 2θ 43.06, I 210; d = 1.865 Å, 2θ 48.83, I 178; d = 1.497 Å, 2θ 62.00, I 176; d = 1.472 Å, 2θ 63.18, I 200; d = 1.449 Å, 2θ 64.30, I 186

Structural model:
Cell: 8.8328 8.8328 8.8328 Å, 58.95 58.95 58.95°
Positions (direct):
Cd 0.1270 0.1270 0.1270
Cd 0.8730 0.8730 0.8730
Hg 0.1683 0.5000 0.8317
Hg 0.1683 0.8317 0.5000
Hg 0.5000 0.1683 0.8317
Hg 0.5000 0.8317 0.1683
Hg 0.8317 0.1683 0.5000
Hg 0.8317 0.5000 0.1683
Pb 0.0000 0.0000 0.0000
Pb 0.2650 0.2650 0.2650
Pb 0.4218 0.4218 0.4218
Pb 0.5782 0.5782 0.5782
Pb 0.7350 0.7350 0.7350


# 10
For Ce5Sn3Ge, a cell relaxed with GGA-PBE gives the computed powder X-ray diffraction pattern in this record (Cu Kα (λ = 1.5418 Å)).

Most intense lines, 2θ = 10–80°, low angle first:
d = 3.214 Å, 2θ 27.76, I 109; d = 3.114 Å, 2θ 28.67, I 116; d = 2.802 Å, 2θ 31.94, I 768; d = 2.746 Å, 2θ 32.61, I 785; d = 2.663 Å, 2θ 33.65, I 1000; d = 2.153 Å, 2θ 41.97, I 141; d = 1.912 Å, 2θ 47.56, I 284; d = 1.813 Å, 2θ 50.32, I 146; d = 1.765 Å, 2θ 51.79, I 199; d = 1.569 Å, 2θ 58.86, I 128; d = 1.442 Å, 2θ 64.64, I 117; d = 1.387 Å, 2θ 67.53, I 194

Structural model:
Cell: 9.5123 9.5123 6.4282 Å, 90.00 90.00 120.00°
Positions (direct):
Ce 0.0000 0.2616 0.2500
Ce 0.0000 0.7384 0.7500
Ce 0.2616 0.0000 0.2500
Ce 0.2616 0.2616 0.7500
Ce 0.3333 0.6667 0.0000
Ce 0.3333 0.6667 0.5000
Ce 0.6667 0.3333 0.0000
Ce 0.6667 0.3333 0.5000
Ce 0.7384 0.0000 0.7500
Ce 0.7384 0.7384 0.2500
Sn 0.0000 0.3837 0.7500
Sn 0.0000 0.6163 0.2500
Sn 0.3837 0.0000 0.7500
Sn 0.3837 0.3837 0.2500
Sn 0.6163 0.0000 0.2500
Sn 0.6163 0.6163 0.7500
Ge 0.0000 0.0000 0.0000
Ge 0.0000 0.0000 0.5000


# 11
For ScTiAg, a cell relaxed with GGA-PBE gives the computed powder X-ray diffraction pattern in this record (Cu Kα (λ = 1.5418 Å)).

Most intense lines, 2θ = 10–80°, low angle first:
d = 6.081 Å, 2θ 14.57, I 223; d = 2.999 Å, 2θ 29.79, I 188; d = 2.460 Å, 2θ 36.53, I 1000; d = 2.205 Å, 2θ 40.93, I 180; d = 2.171 Å, 2θ 41.59, I 172; d = 2.027 Å, 2θ 44.71, I 133; d = 1.547 Å, 2θ 59.77, I 108; d = 1.492 Å, 2θ 62.21, I 92; d = 1.317 Å, 2θ 71.66, I 121; d = 1.303 Å, 2θ 72.58, I 116; d = 1.238 Å, 2θ 77.00, I 92; d = 1.230 Å, 2θ 77.63, I 94

Structural model:
Cell: 6.4686 6.4686 4.3430 Å, 90.00 90.00 140.14°
Positions (direct):
Sc 0.0887 0.9113 0.7500
Sc 0.9113 0.0887 0.2500
Ti 0.4247 0.5753 0.7500
Ti 0.5753 0.4247 0.2500
Ag 0.2504 0.7496 0.2500
Ag 0.7496 0.2504 0.7500


# 12
For Tm2ScHg3, a cell relaxed with GGA-PBE gives the computed powder X-ray diffraction pattern in this record (Cu Kα (λ = 1.5418 Å)).

Most intense lines, 2θ = 10–80°, low angle first:
d = 4.185 Å, 2θ 21.23, I 82; d = 3.625 Å, 2θ 24.56, I 131; d = 2.567 Å, 2θ 34.95, I 1000; d = 2.559 Å, 2θ 35.06, I 995; d = 2.184 Å, 2θ 41.33, I 33; d = 2.091 Å, 2θ 43.28, I 32; d = 1.812 Å, 2θ 50.34, I 359; d = 1.619 Å, 2θ 56.87, I 30; d = 1.484 Å, 2θ 62.60, I 185; d = 1.479 Å, 2θ 62.85, I 556; d = 1.284 Å, 2θ 73.82, I 115; d = 1.280 Å, 2θ 74.10, I 116

Structural model:
Cell: 5.1183 5.1183 12.5973 Å, 90.00 90.00 120.00°
Positions (direct):
Tm 0.0000 0.0000 0.0000
Tm 0.0000 0.0000 0.5000
Tm 0.3333 0.6667 0.1709
Tm 0.6667 0.3333 0.8291
Sc 0.3333 0.6667 0.6663
Sc 0.6667 0.3333 0.3337
Hg 0.0000 0.0000 0.2542
Hg 0.0000 0.0000 0.7458
Hg 0.3333 0.6667 0.4188
Hg 0.3333 0.6667 0.9136
Hg 0.6667 0.3333 0.0864
Hg 0.6667 0.3333 0.5812